# MgTi2Fe4O10
Calculated powder XRD pattern, a wavelength of 1.5418 Å. Input: a structure optimized by DFT (GGA+U).

Largest 10 diffraction maxima, sorted by position, 2θ = 10–90°:
h k l  two_theta  Rel. int.
0 0 2  17.7  26.7
2 0 0  17.9  68.4
1 1 0  24.1  100.0
2 0 -3  31.9  54.5
2 0 3  32.8  74.4
3 1 0  35.3  57.9
1 1 -3  36.1  48.5
4 0 -3  44.9  51.2
0 2 0  45.7  65.1
4 2 -3  66.0  26.8

Atomic structure:
abc: 9.938 3.972 10.003
angles: 90.00 91.72 90.00
Space group C2/m (No. 12)
Symmetry-distinct sites (fractional):
Mg 0.000 0.000 0.000 x2
Ti 0.177 0.500 0.255 x4
Fe 0.146 0.500 0.559 x4
Fe 0.167 0.500 0.922 x4
O 0.043 0.500 0.380 x4
O 0.053 0.500 0.114 x4
O 0.178 0.000 0.913 x4
O 0.192 0.000 0.574 x4
O 0.231 0.000 0.262 x4